Diffraction record for Na5Cr2AsC4O16. The powder diffraction line list is computed, not measured: it uses a GGA+U-relaxed structure and λ = 1.5418 Å (Cu Kα).
Neutral-atom scattering factors, no anomalous dispersion.

Structural model:
abc: 9.939 9.928 9.879
angles: 60.24 60.12 59.64
Element x y z (fractional)
Na (0.000, 0.000, 0.000)
Na (0.250, 0.250, 0.250)
Na (0.263, 0.835, 0.253)
Na (0.264, 0.835, 0.648)
Na (0.601, 0.997, 0.415)
Na (0.602, 0.997, 0.986)
Na (0.835, 0.263, 0.649)
Na (0.835, 0.264, 0.253)
Na (0.997, 0.601, 0.987)
Na (0.997, 0.602, 0.415)
Cr (0.421, 0.422, 0.826)
Cr (0.422, 0.421, 0.331)
Cr (0.424, 0.919, 0.829)
Cr (0.919, 0.424, 0.828)
As (0.044, 0.044, 0.456)
As (0.794, 0.794, 0.206)
C (0.207, 0.556, 0.620)
C (0.208, 0.208, 0.616)
C (0.208, 0.208, 0.967)
C (0.283, 0.634, 0.042)
C (0.556, 0.207, 0.617)
C (0.630, 0.633, 0.043)
C (0.633, 0.630, 0.694)
C (0.634, 0.283, 0.042)
O (0.064, 0.323, 0.642)
O (0.066, 0.235, 0.969)
O (0.067, 0.553, 0.736)
O (0.232, 0.560, 0.475)
O (0.234, 0.323, 0.970)
O (0.235, 0.066, 0.731)
O (0.258, 0.976, 0.383)
O (0.279, 0.608, 0.927)
O (0.280, 0.777, 0.016)
O (0.281, 0.519, 0.184)
O (0.319, 0.562, 0.645)
O (0.323, 0.064, 0.971)
O (0.323, 0.234, 0.473)
O (0.514, 0.606, 0.183)
O (0.517, 0.775, 0.690)
O (0.519, 0.281, 0.015)
O (0.553, 0.067, 0.644)
O (0.560, 0.232, 0.733)
O (0.562, 0.319, 0.474)
O (0.583, 0.882, 0.267)
O (0.605, 0.776, 0.931)
O (0.606, 0.514, 0.697)
O (0.608, 0.279, 0.186)
O (0.775, 0.517, 0.018)
O (0.776, 0.605, 0.688)
O (0.777, 0.280, 0.927)
O (0.867, 0.867, 0.274)
O (0.867, 0.867, 0.992)
O (0.882, 0.583, 0.268)
O (0.976, 0.258, 0.383)
O (0.982, 0.983, 0.368)
O (0.983, 0.982, 0.667)

Peak list (10 most intense, 10 to 90 degrees two-theta, by intensity)
- 21.07 deg, I = 1000
- 17.86 deg, I = 737
- 20.90 deg, I = 693
- 33.26 deg, I = 602
- 36.17 deg, I = 584
- 33.34 deg, I = 496
- 32.98 deg, I = 467
- 36.38 deg, I = 263
- 56.86 deg, I = 253
- 57.11 deg, I = 219